Mn2MoF: simulated XRD peak list (CuKα), based on a cell relaxed with GGA+U.

Peak list (7 most intense, 10 to 80 degrees two-theta, low angle first)
2θ (°)  intensity
23.11  29
38.19  100
45.11  15
55.11  16
60.54  6
69.02  31
73.87  5

Structure:
Cell lengths 6.666, 6.666, 6.666 Å; angles 90.00, 90.00, 90.00 degrees
Space group Fm-3m (No. 225)
One atom of each set of equivalent atoms:
Mn: 0.250 0.250 0.250 [8 per cell]
Mo: 0.000 0.000 0.000 [4 per cell]
F: 0.000 0.000 0.500 [4 per cell]